This entry pairs a crystal structure of La5Ru2 with its calculated PXRD pattern. Radiation: λ = 1.5418 Å (Cu Kα). Structure: a cell relaxed with GGA-PBE.

Structure:
```
La5Ru2
1.0
8.459 -3.361 0.000
8.459 3.361 0.000
-0.666 0.000 7.320
La Ru
10 4
direct
0.078 0.922 0.750
0.139 0.292 0.316
0.292 0.139 0.816
0.296 0.519 0.092
0.481 0.704 0.408
0.519 0.296 0.592
0.704 0.481 0.908
0.708 0.861 0.184
0.861 0.708 0.684
0.922 0.078 0.250
0.103 0.676 0.420
0.324 0.897 0.080
0.676 0.103 0.920
0.897 0.324 0.580
```

Main lines, by intensity (10° ≤ 2θ ≤ 90°):
Position (°2θ), I_rel
29.66, 100
29.24, 76
30.91, 74
33.06, 55
33.20, 45
31.53, 42
39.19, 42
38.58, 39
30.76, 34
33.87, 32


This entry pairs a crystal structure of Na2O with its calculated PXRD pattern. Radiation: λ = 1.5418 Å (Cu Kα). Structure: a cell relaxed with GGA-PBE.

Structure:
```
Na2O
1.0
0.000 2.798 2.798
2.798 0.000 2.798
2.798 2.798 0.000
Na O
2 1
direct
0.250 0.250 0.250
0.750 0.750 0.750
0.000 0.000 0.000
```

Main lines, by intensity (10° ≤ 2θ ≤ 90°):
Position (°2θ), I_rel
45.87, 100
31.99, 36
84.91, 23
27.61, 21
66.89, 13
76.08, 11
57.02, 9
54.39, 6
73.82, 2


This entry pairs a crystal structure of Gd3S4 with its calculated PXRD pattern. Radiation: λ = 1.5418 Å (Cu Kα). Structure: a cell relaxed with GGA-PBE.

Structure:
```
Gd3S4
1.0
-4.209 4.209 4.209
4.209 -4.209 4.209
4.209 4.209 -4.209
Gd S
6 8
direct
0.125 0.875 0.250
0.250 0.125 0.875
0.375 0.625 0.750
0.625 0.750 0.375
0.750 0.375 0.625
0.875 0.250 0.125
0.000 0.144 0.500
0.000 0.644 0.500
0.144 0.500 0.000
0.356 0.356 0.356
0.500 0.000 0.144
0.500 0.000 0.644
0.644 0.500 0.000
0.856 0.856 0.856
```

Main lines, by intensity (10° ≤ 2θ ≤ 90°):
Position (°2θ), I_rel
25.92, 100
33.67, 88
40.07, 53
48.35, 38
68.73, 35
55.67, 30
84.58, 26
50.87, 25
72.80, 13
82.65, 8


This entry pairs a crystal structure of Mg7Zr with its calculated PXRD pattern. Radiation: λ = 1.5418 Å (Cu Kα). Structure: a cell relaxed with GGA-PBE.

Structure:
```
Mg7Zr
1.0
6.432 0.000 0.000
-3.216 5.570 0.000
0.000 0.000 5.063
Mg Zr
7 1
direct
0.000 0.000 0.000
0.005 0.503 0.000
0.336 0.168 0.500
0.497 0.503 0.000
0.497 0.995 0.000
0.832 0.168 0.500
0.832 0.664 0.500
0.333 0.667 0.500
```

Main lines, by intensity (10° ≤ 2θ ≤ 90°):
Position (°2θ), I_rel
36.83, 100
15.91, 34
32.14, 28
23.75, 24
35.46, 24
69.22, 19
64.56, 18
57.30, 17
48.60, 17
70.08, 14


This entry pairs a crystal structure of Ag5BiO4 with its calculated PXRD pattern. Radiation: λ = 1.5418 Å (Cu Kα). Structure: a cell relaxed with GGA-PBE.

Structure:
```
Ag5BiO4
1.0
6.039 0.000 0.000
0.000 9.014 0.000
-5.794 0.000 12.746
Ag Bi O
20 4 16
direct
0.000 0.000 0.000
0.000 0.500 0.500
0.115 0.232 0.374
0.115 0.268 0.874
0.117 0.139 0.647
0.117 0.361 0.147
0.215 0.508 0.746
0.215 0.992 0.246
0.378 0.730 0.125
0.378 0.770 0.625
0.500 0.000 0.500
0.500 0.500 0.000
0.622 0.230 0.375
0.622 0.270 0.875
0.785 0.008 0.754
0.785 0.492 0.254
0.883 0.639 0.853
0.883 0.861 0.353
0.885 0.732 0.126
0.885 0.768 0.626
0.405 0.621 0.378
0.405 0.879 0.878
0.595 0.121 0.122
0.595 0.379 0.622
0.043 0.635 0.379
0.043 0.865 0.879
0.197 0.595 0.195
0.197 0.905 0.695
0.431 0.136 0.940
0.431 0.364 0.440
0.469 0.638 0.872
0.469 0.862 0.372
0.531 0.138 0.628
0.531 0.362 0.128
0.569 0.636 0.560
0.569 0.864 0.060
0.803 0.095 0.305
0.803 0.405 0.805
0.957 0.135 0.121
0.957 0.365 0.621
```

Main lines, by intensity (10° ≤ 2θ ≤ 90°):
Position (°2θ), I_rel
33.31, 100
33.06, 95
34.47, 93
32.96, 91
34.09, 85
33.56, 81
34.58, 76
35.80, 75
28.26, 54
52.78, 53


This entry pairs a crystal structure of Ba4Y2Cu6O13 with its calculated PXRD pattern. Radiation: λ = 1.5418 Å (Cu Kα). Structure: a cell relaxed with GGA-PBE.

Structure:
```
Ba4Y2Cu6O13
1.0
3.909 0.000 0.000
0.000 7.721 0.000
0.000 0.000 11.972
Ba Y Cu O
4 2 6 13
direct
0.000 0.243 0.188
0.000 0.243 0.812
0.000 0.757 0.188
0.000 0.757 0.812
0.000 0.251 0.500
0.000 0.749 0.500
0.500 0.000 0.000
0.500 0.000 0.360
0.500 0.000 0.640
0.500 0.500 0.000
0.500 0.500 0.360
0.500 0.500 0.640
0.000 0.000 0.000
0.000 0.000 0.379
0.000 0.000 0.621
0.000 0.500 0.379
0.000 0.500 0.621
0.500 0.000 0.158
0.500 0.000 0.842
0.500 0.250 0.380
0.500 0.250 0.620
0.500 0.500 0.149
0.500 0.500 0.851
0.500 0.750 0.380
0.500 0.750 0.620
```

Main lines, by intensity (10° ≤ 2θ ≤ 90°):
Position (°2θ), I_rel
32.60, 100
32.26, 95
32.05, 91
57.69, 35
58.09, 32
46.46, 29
57.05, 28
47.08, 28
39.84, 21
68.30, 17